# 1
The following is a theoretical powder diffraction line list of Ac2GaIr3. It was derived from DFT lattice parameters and positions (PBE), using a wavelength of 1.5418 Å.

Main lines, by angle (2θ = 10–90°):
hkl  Position (°2θ)  intensity
1 1 1  31.04  100
0 2 0  40.53  16
1 0 3  41.31  30
2 0 0  41.53  15
2 1 2  52.70  16
1 2 3  59.26  21

Crystal structure
```
data_Ac2GaIr3
_symmetry_space_group_name_H-M 'P m m 2'
_symmetry_Int_Tables_number 25
_symmetry_space_group_name_Hall 'P 2 -2'
_cell_length_a 4.3491
_cell_length_b 4.4511
_cell_length_c 7.5841
_cell_angle_alpha 90.00
_cell_angle_beta 90.00
_cell_angle_gamma 90.00
loop_
_atom_site_label
_atom_site_type_symbol
_atom_site_fract_x
_atom_site_fract_y
_atom_site_fract_z
Ac1 Ac 0.0000 0.0000 0.0000
Ac2 Ac 0.5000 0.0000 0.4775
Ga1 Ga 0.0000 0.5000 0.6560
Ir1 Ir 0.0000 0.5000 0.3259
Ir2 Ir 0.5000 0.5000 0.1563
Ir3 Ir 0.5000 0.5000 0.8236
```

=====

# 2
The following is a theoretical powder diffraction line list of Zr2Pa2N3. It was derived from DFT lattice parameters and positions (PBE), using a wavelength of 1.5418 Å.

Main lines, by angle (2θ = 10–90°):
hkl  Position (°2θ)  intensity
2 0 -2  31.82  52
4 0 0  32.02  50
1 1 1  32.56  100
3 1 -1  36.69  92
2 0 2  38.79  39
1 1 -3  54.32  29

Crystal structure
```
data_Zr2Pa2N3
_symmetry_space_group_name_H-M 'C 1 2/m 1'
_symmetry_Int_Tables_number 12
_symmetry_space_group_name_Hall '-C 2y'
_cell_length_a 11.5009
_cell_length_b 3.4129
_cell_length_c 5.8435
_cell_angle_alpha 90.00
_cell_angle_beta 103.57
_cell_angle_gamma 90.00
loop_
_atom_site_label
_atom_site_type_symbol
_atom_site_fract_x
_atom_site_fract_y
_atom_site_fract_z
Zr1 Zr 0.1390 0.0000 0.3630
Pa1 Pa 0.1194 0.5000 0.8623
N1 N 0.0000 0.0000 0.0000
N2 N 0.2476 0.0000 0.7471
```

=====

# 3
The following is a theoretical powder diffraction line list of Dy3Er3CuRu2. It was derived from DFT lattice parameters and positions (PBE), using a wavelength of 1.5418 Å.

Main lines, by angle (2θ = 10–90°):
hkl  Position (°2θ)  intensity
1 1 1  31.06  100
2 0 1  34.29  68
0 0 2  37.56  33
2 1 0  38.14  36
3 0 0  43.49  22
2 1 2  54.61  26

Crystal structure
```
data_Dy3Er3CuRu2
_symmetry_space_group_name_H-M 'P -6 2 m'
_symmetry_Int_Tables_number 189
_symmetry_space_group_name_Hall 'P -6 -2'
_cell_length_a 7.2078
_cell_length_b 7.2078
_cell_length_c 4.7891
_cell_angle_alpha 90.00
_cell_angle_beta 90.00
_cell_angle_gamma 120.00
loop_
_atom_site_label
_atom_site_type_symbol
_atom_site_fract_x
_atom_site_fract_y
_atom_site_fract_z
Dy1 Dy 0.0000 0.2684 0.0000
Er1 Er 0.0000 0.5857 0.5000
Cu1 Cu 0.0000 0.0000 0.5000
Ru1 Ru 0.3333 0.6667 0.0000
```

=====

# 4
The following is a theoretical powder diffraction line list of BaSr4Mg4. It was derived from DFT lattice parameters and positions (PBE), using a wavelength of 1.5418 Å.

Main lines, by angle (2θ = 10–90°):
hkl  Position (°2θ)  intensity
1 0 1  15.00  27
2 1 1  21.98  97
1 3 0  25.37  100
1 0 2  26.79  46
4 2 0  36.19  30
5 0 1  42.74  27

Crystal structure
```
data_BaSr4Mg4
_symmetry_space_group_name_H-M 'P 42/n'
_symmetry_Int_Tables_number 86
_cell_length_a 11.1003
_cell_length_b 11.1003
_cell_length_c 6.9767
_cell_angle_alpha 90.00
_cell_angle_beta 90.00
_cell_angle_gamma 90.00
loop_
_symmetry_equiv_pos_as_xyz
'x,y,z'
'-x,-y,-z'
'-y,x+1/2,z+1/2'
'y,-x+1/2,-z+1/2'
'-x+1/2,-y+1/2,z'
'x+1/2,y+1/2,-z'
'y+1/2,-x,z+1/2'
'-y+1/2,x,-z+1/2'
loop_
_atom_site_label
_atom_site_type_symbol
_atom_site_fract_x
_atom_site_fract_y
_atom_site_fract_z
Ba1 Ba 0.2500 0.2500 0.2500
Sr1 Sr 0.0847 0.6546 0.1296
Mg1 Mg 0.0290 0.6053 0.6264
```

=====

- What is the formula in the second record?
  Zr2Pa2N3